No. 1
Simulated X-ray diffraction stick pattern of Pr12NdSc3 for Cu Kα (weighted mean of Kα1 and Kα2), from a cell relaxed with PBE.

Largest 10 diffraction maxima, sorted by position, 2θ = 15–90°:
- 2θ = 17.30°, rel. 6
- 2θ = 24.56°, rel. 5
- 2θ = 30.20°, rel. 100
- 2θ = 35.02°, rel. 50
- 2θ = 50.36°, rel. 35
- 2θ = 59.85°, rel. 41
- 2θ = 62.81°, rel. 12
- 2θ = 73.98°, rel. 5
- 2θ = 81.94°, rel. 16
- 2θ = 84.55°, rel. 15

Crystal structure
```
data_Pr12NdSc3
_chemical_formula_sum 'Pr12 Nd1 Sc3'
_space_group_name_H-M_alt 'P 1'
_space_group_IT_number 1
_space_group_name_Hall 'P 1'
_cell_length_a 5.1241
_cell_length_b 5.1241
_cell_length_c 20.5089
_cell_angle_alpha 90.00
_cell_angle_beta 90.00
_cell_angle_gamma 90.00
loop_
_atom_site_label
_atom_site_type_symbol
_atom_site_fract_x
_atom_site_fract_y
_atom_site_fract_z
Pr1 Pr 0.0000 0.0000 0.0000
Pr2 Pr 0.0000 0.0000 0.2459
Pr3 Pr 0.0000 0.0000 0.5000
Pr4 Pr 0.0000 0.0000 0.7541
Pr5 Pr 0.0000 0.5000 0.1231
Pr6 Pr 0.0000 0.5000 0.3696
Pr7 Pr 0.0000 0.5000 0.6304
Pr8 Pr 0.0000 0.5000 0.8769
Pr9 Pr 0.5000 0.0000 0.1231
Pr10 Pr 0.5000 0.0000 0.3696
Pr11 Pr 0.5000 0.0000 0.6304
Pr12 Pr 0.5000 0.0000 0.8769
Nd1 Nd 0.5000 0.5000 0.5000
Sc1 Sc 0.5000 0.5000 0.0000
Sc2 Sc 0.5000 0.5000 0.2465
Sc3 Sc 0.5000 0.5000 0.7535
```

No. 2
Simulated X-ray diffraction stick pattern of Pr8Nd3Sc2 for Cu Kα (weighted mean of Kα1 and Kα2), from a cell relaxed with PBE.

Largest 10 diffraction maxima, sorted by position, 2θ = 15–90°:
- 2θ = 24.31°, rel. 16
- 2θ = 27.38°, rel. 16
- 2θ = 28.81°, rel. 18
- 2θ = 29.29°, rel. 48
- 2θ = 30.76°, rel. 76
- 2θ = 32.76°, rel. 100
- 2θ = 46.89°, rel. 18
- 2θ = 53.80°, rel. 16
- 2θ = 55.96°, rel. 22
- 2θ = 65.74°, rel. 15

Crystal structure
```
data_Pr8Nd3Sc2
_chemical_formula_sum 'Pr8 Nd3 Sc2'
_space_group_name_H-M_alt 'P 1'
_space_group_IT_number 1
_space_group_name_Hall 'P 1'
_cell_length_a 10.7980
_cell_length_b 10.7980
_cell_length_c 5.8155
_cell_angle_alpha 90.04
_cell_angle_beta 90.04
_cell_angle_gamma 42.71
loop_
_atom_site_label
_atom_site_type_symbol
_atom_site_fract_x
_atom_site_fract_y
_atom_site_fract_z
Pr1 Pr 0.0936 0.6812 0.9995
Pr2 Pr 0.1815 0.1815 0.5014
Pr3 Pr 0.3188 0.9064 0.0005
Pr4 Pr 0.3657 0.3657 0.5004
Pr5 Pr 0.6343 0.6343 0.4996
Pr6 Pr 0.6812 0.0936 0.9995
Pr7 Pr 0.8185 0.8185 0.4986
Pr8 Pr 0.9064 0.3188 0.0005
Nd1 Nd 0.2107 0.7893 0.5000
Nd2 Nd 0.5000 0.5000 0.0000
Nd3 Nd 0.7893 0.2107 0.5000
Sc1 Sc 0.2599 0.2599 0.0016
Sc2 Sc 0.7401 0.7401 0.9984
```

No. 3
Simulated X-ray diffraction stick pattern of Pr7Nd3Sc for Cu Kα (weighted mean of Kα1 and Kα2), from a cell relaxed with PBE.

Largest 10 diffraction maxima, sorted by position, 2θ = 15–90°:
- 2θ = 22.82°, rel. 13
- 2θ = 24.42°, rel. 10
- 2θ = 27.63°, rel. 15
- 2θ = 30.01°, rel. 35
- 2θ = 31.03°, rel. 27
- 2θ = 31.77°, rel. 100
- 2θ = 43.71°, rel. 21
- 2θ = 54.40°, rel. 22
- 2θ = 60.50°, rel. 18
- 2θ = 65.24°, rel. 9

Crystal structure
```
data_Pr7Nd3Sc
_chemical_formula_sum 'Pr7 Nd3 Sc1'
_space_group_name_H-M_alt 'P 1'
_space_group_IT_number 1
_space_group_name_Hall 'P 1'
_cell_length_a 8.6751
_cell_length_b 8.6751
_cell_length_c 5.9559
_cell_angle_alpha 110.01
_cell_angle_beta 110.01
_cell_angle_gamma 83.30
loop_
_atom_site_label
_atom_site_type_symbol
_atom_site_fract_x
_atom_site_fract_y
_atom_site_fract_z
Pr1 Pr 0.0000 0.0000 0.0000
Pr2 Pr 0.0980 0.5188 0.3081
Pr3 Pr 0.2838 0.2838 0.7835
Pr4 Pr 0.4812 0.9020 0.6919
Pr5 Pr 0.5188 0.0980 0.3081
Pr6 Pr 0.7162 0.7162 0.2165
Pr7 Pr 0.9020 0.4812 0.6919
Nd1 Nd 0.2942 0.7058 0.0000
Nd2 Nd 0.5000 0.5000 0.5000
Nd3 Nd 0.7058 0.2942 0.0000
Sc1 Sc 0.0000 0.0000 0.5000
```

No. 4
Simulated X-ray diffraction stick pattern of PrNdSc for Cu Kα (weighted mean of Kα1 and Kα2), from a cell relaxed with PBE.

Largest 10 diffraction maxima, sorted by position, 2θ = 15–90°:
- 2θ = 22.21°, rel. 29
- 2θ = 31.28°, rel. 100
- 2θ = 31.94°, rel. 92
- 2θ = 45.31°, rel. 36
- 2θ = 56.51°, rel. 37
- 2θ = 56.92°, rel. 17
- 2θ = 62.04°, rel. 27
- 2θ = 66.77°, rel. 11
- 2θ = 75.58°, rel. 15
- 2θ = 80.44°, rel. 13

Crystal structure
```
data_PrNdSc
_chemical_formula_sum 'Pr2 Nd2 Sc2'
_space_group_name_H-M_alt 'P 1'
_space_group_IT_number 1
_space_group_name_Hall 'P 1'
_cell_length_a 5.6040
_cell_length_b 5.6040
_cell_length_c 7.0772
_cell_angle_alpha 90.00
_cell_angle_beta 90.00
_cell_angle_gamma 119.99
loop_
_atom_site_label
_atom_site_type_symbol
_atom_site_fract_x
_atom_site_fract_y
_atom_site_fract_z
Pr1 Pr 0.1664 0.8336 0.7500
Pr2 Pr 0.8336 0.1664 0.2500
Nd1 Nd 0.5000 0.5000 0.0000
Nd2 Nd 0.5000 0.5000 0.5000
Sc1 Sc 0.1671 0.8329 0.2500
Sc2 Sc 0.8329 0.1671 0.7500
```

No. 5
Simulated X-ray diffraction stick pattern of PrNd3Sc2 for Cu Kα (weighted mean of Kα1 and Kα2), from a cell relaxed with PBE.

Largest 10 diffraction maxima, sorted by position, 2θ = 15–90°:
- 2θ = 24.07°, rel. 67
- 2θ = 24.44°, rel. 54
- 2θ = 27.04°, rel. 14
- 2θ = 32.07°, rel. 74
- 2θ = 32.35°, rel. 50
- 2θ = 34.57°, rel. 100
- 2θ = 36.63°, rel. 13
- 2θ = 40.96°, rel. 28
- 2θ = 56.32°, rel. 13
- 2θ = 59.14°, rel. 21

Crystal structure
```
data_PrNd3Sc2
_chemical_formula_sum 'Pr2 Nd6 Sc4'
_space_group_name_H-M_alt 'P 1'
_space_group_IT_number 1
_space_group_name_Hall 'P 1'
_cell_length_a 8.8172
_cell_length_b 8.8172
_cell_length_c 5.5341
_cell_angle_alpha 90.00
_cell_angle_beta 90.00
_cell_angle_gamma 68.61
loop_
_atom_site_label
_atom_site_type_symbol
_atom_site_fract_x
_atom_site_fract_y
_atom_site_fract_z
Pr1 Pr 0.2329 0.7671 0.7500
Pr2 Pr 0.7671 0.2329 0.2500
Nd1 Nd 0.1308 0.3924 0.2500
Nd2 Nd 0.3924 0.1308 0.7500
Nd3 Nd 0.4015 0.5985 0.2500
Nd4 Nd 0.5985 0.4015 0.7500
Nd5 Nd 0.6076 0.8692 0.2500
Nd6 Nd 0.8692 0.6076 0.7500
Sc1 Sc 0.0155 0.1936 0.7500
Sc2 Sc 0.1936 0.0155 0.2500
Sc3 Sc 0.8064 0.9845 0.7500
Sc4 Sc 0.9845 0.8064 0.2500
```

No. 6
Simulated X-ray diffraction stick pattern of Pr4Nd15Sc for Cu Kα (weighted mean of Kα1 and Kα2), from a cell relaxed with PBE.

Largest 10 diffraction maxima, sorted by position, 2θ = 15–90°:
- 2θ = 29.82°, rel. 100
- 2θ = 34.52°, rel. 34
- 2θ = 34.64°, rel. 16
- 2θ = 49.68°, rel. 36
- 2θ = 58.97°, rel. 29
- 2θ = 59.14°, rel. 13
- 2θ = 61.93°, rel. 12
- 2θ = 80.60°, rel. 6
- 2θ = 80.75°, rel. 11
- 2θ = 83.17°, rel. 11

Crystal structure
```
data_Pr4Nd15Sc
_chemical_formula_sum 'Pr4 Nd15 Sc1'
_space_group_name_H-M_alt 'P 1'
_space_group_IT_number 1
_space_group_name_Hall 'P 1'
_cell_length_a 5.1961
_cell_length_b 5.1961
_cell_length_c 25.8918
_cell_angle_alpha 90.00
_cell_angle_beta 90.00
_cell_angle_gamma 90.00
loop_
_atom_site_label
_atom_site_type_symbol
_atom_site_fract_x
_atom_site_fract_y
_atom_site_fract_z
Pr1 Pr 0.0000 0.0000 0.1013
Pr2 Pr 0.0000 0.0000 0.3036
Pr3 Pr 0.0000 0.0000 0.6964
Pr4 Pr 0.0000 0.0000 0.8987
Nd1 Nd 0.0000 0.5000 0.0000
Nd2 Nd 0.0000 0.5000 0.2024
Nd3 Nd 0.0000 0.5000 0.4048
Nd4 Nd 0.0000 0.5000 0.5952
Nd5 Nd 0.0000 0.5000 0.7976
Nd6 Nd 0.5000 0.0000 0.0000
Nd7 Nd 0.5000 0.0000 0.2024
Nd8 Nd 0.5000 0.0000 0.4048
Nd9 Nd 0.5000 0.0000 0.5952
Nd10 Nd 0.5000 0.0000 0.7976
Nd11 Nd 0.5000 0.5000 0.1011
Nd12 Nd 0.5000 0.5000 0.3039
Nd13 Nd 0.5000 0.5000 0.5000
Nd14 Nd 0.5000 0.5000 0.6961
Nd15 Nd 0.5000 0.5000 0.8989
Sc1 Sc 0.0000 0.0000 0.5000
```

No. 7
Simulated X-ray diffraction stick pattern of Pr3Nd4Sc2 for Cu Kα (weighted mean of Kα1 and Kα2), from a cell relaxed with PBE.

Largest 10 diffraction maxima, sorted by position, 2θ = 15–90°:
- 2θ = 28.69°, rel. 43
- 2θ = 29.97°, rel. 44
- 2θ = 31.70°, rel. 100
- 2θ = 33.28°, rel. 74
- 2θ = 41.96°, rel. 27
- 2θ = 50.82°, rel. 35
- 2θ = 53.25°, rel. 23
- 2θ = 60.13°, rel. 36
- 2θ = 61.15°, rel. 15
- 2θ = 83.44°, rel. 13

Crystal structure
```
data_Pr3Nd4Sc2
_chemical_formula_sum 'Pr3 Nd4 Sc2'
_space_group_name_H-M_alt 'P 1'
_space_group_IT_number 1
_space_group_name_Hall 'P 1'
_cell_length_a 3.5931
_cell_length_b 3.5931
_cell_length_c 26.8369
_cell_angle_alpha 90.00
_cell_angle_beta 90.00
_cell_angle_gamma 120.00
loop_
_atom_site_label
_atom_site_type_symbol
_atom_site_fract_x
_atom_site_fract_y
_atom_site_fract_z
Pr1 Pr 0.0000 0.0000 0.0000
Pr2 Pr 0.0000 0.0000 0.3324
Pr3 Pr 0.6667 0.3333 0.6771
Nd1 Nd 0.0000 0.0000 0.5623
Nd2 Nd 0.0000 0.0000 0.7941
Nd3 Nd 0.6667 0.3333 0.2213
Nd4 Nd 0.6667 0.3333 0.4493
Sc1 Sc 0.6667 0.3333 0.1011
Sc2 Sc 0.6667 0.3333 0.8946
```

No. 8
Simulated X-ray diffraction stick pattern of Pr2Nd5SmSc for Cu Kα (weighted mean of Kα1 and Kα2), from a cell relaxed with PBE.

Largest 10 diffraction maxima, sorted by position, 2θ = 15–90°:
- 2θ = 28.13°, rel. 64
- 2θ = 29.27°, rel. 53
- 2θ = 29.76°, rel. 100
- 2θ = 32.82°, rel. 26
- 2θ = 37.97°, rel. 17
- 2θ = 39.44°, rel. 15
- 2θ = 43.31°, rel. 22
- 2θ = 46.34°, rel. 14
- 2θ = 52.21°, rel. 24
- 2θ = 66.09°, rel. 14

Crystal structure
```
data_Pr2Nd5SmSc
_chemical_formula_sum 'Pr4 Nd10 Sm2 Sc2'
_space_group_name_H-M_alt 'P 1'
_space_group_IT_number 1
_space_group_name_Hall 'P 1'
_cell_length_a 10.3471
_cell_length_b 10.3471
_cell_length_c 10.3471
_cell_angle_alpha 130.70
_cell_angle_beta 130.70
_cell_angle_gamma 72.28
loop_
_atom_site_label
_atom_site_type_symbol
_atom_site_fract_x
_atom_site_fract_y
_atom_site_fract_z
Pr1 Pr 0.1231 0.6231 0.7462
Pr2 Pr 0.3769 0.1231 0.5000
Pr3 Pr 0.6231 0.8769 0.5000
Pr4 Pr 0.8769 0.3769 0.2538
Nd1 Nd 0.0000 0.0000 0.0000
Nd2 Nd 0.0693 0.1408 0.5000
Nd3 Nd 0.1408 0.6408 0.0715
Nd4 Nd 0.3592 0.4307 0.5000
Nd5 Nd 0.4307 0.9307 0.0715
Nd6 Nd 0.5000 0.5000 0.0000
Nd7 Nd 0.5693 0.0693 0.9285
Nd8 Nd 0.6408 0.5693 0.5000
Nd9 Nd 0.8592 0.3592 0.9285
Nd10 Nd 0.9307 0.8592 0.5000
Sm1 Sm 0.2500 0.2500 0.0000
Sm2 Sm 0.7500 0.7500 0.0000
Sc1 Sc 0.2500 0.7500 0.5000
Sc2 Sc 0.7500 0.2500 0.5000
```

No. 9
Simulated X-ray diffraction stick pattern of Tb4Pr2NdSc for Cu Kα (weighted mean of Kα1 and Kα2), from a cell relaxed with PBE.

Largest 10 diffraction maxima, sorted by position, 2θ = 15–90°:
- 2θ = 17.52°, rel. 3
- 2θ = 24.88°, rel. 3
- 2θ = 30.60°, rel. 100
- 2θ = 35.47°, rel. 50
- 2θ = 51.04°, rel. 36
- 2θ = 60.69°, rel. 42
- 2θ = 63.70°, rel. 12
- 2θ = 75.08°, rel. 6
- 2θ = 83.21°, rel. 17
- 2θ = 85.88°, rel. 16

Crystal structure
```
data_Tb4Pr2NdSc
_chemical_formula_sum 'Tb4 Pr2 Nd1 Sc1'
_space_group_name_H-M_alt 'P 1'
_space_group_IT_number 1
_space_group_name_Hall 'P 1'
_cell_length_a 5.0616
_cell_length_b 5.0616
_cell_length_c 10.1200
_cell_angle_alpha 90.00
_cell_angle_beta 90.00
_cell_angle_gamma 90.00
loop_
_atom_site_label
_atom_site_type_symbol
_atom_site_fract_x
_atom_site_fract_y
_atom_site_fract_z
Tb1 Tb 0.0000 0.5000 0.2432
Tb2 Tb 0.0000 0.5000 0.7568
Tb3 Tb 0.5000 0.0000 0.2432
Tb4 Tb 0.5000 0.0000 0.7568
Pr1 Pr 0.0000 0.0000 0.0000
Pr2 Pr 0.5000 0.5000 0.5000
Nd1 Nd 0.0000 0.0000 0.5000
Sc1 Sc 0.5000 0.5000 0.0000
```

No. 10
Simulated X-ray diffraction stick pattern of PrNdThSc for Cu Kα (weighted mean of Kα1 and Kα2), from a cell relaxed with PBE.

Largest 10 diffraction maxima, sorted by position, 2θ = 15–90°:
- 2θ = 16.53°, rel. 22
- 2θ = 26.59°, rel. 28
- 2θ = 31.25°, rel. 100
- 2θ = 31.47°, rel. 93
- 2θ = 32.61°, rel. 32
- 2θ = 33.41°, rel. 43
- 2θ = 42.39°, rel. 26
- 2θ = 47.38°, rel. 22
- 2θ = 55.02°, rel. 24
- 2θ = 62.75°, rel. 27

Crystal structure
```
data_PrNdThSc
_chemical_formula_sum 'Pr1 Nd1 Th1 Sc1'
_space_group_name_H-M_alt 'P 1'
_space_group_IT_number 1
_space_group_name_Hall 'P 1'
_cell_length_a 3.4605
_cell_length_b 5.3636
_cell_length_c 6.9881
_cell_angle_alpha 90.00
_cell_angle_beta 104.39
_cell_angle_gamma 90.00
loop_
_atom_site_label
_atom_site_type_symbol
_atom_site_fract_x
_atom_site_fract_y
_atom_site_fract_z
Pr1 Pr 0.0000 0.0000 0.0000
Nd1 Nd 0.8636 0.5000 0.7221
Th1 Th 0.2361 0.0000 0.4690
Sc1 Sc 0.6125 0.5000 0.2233
```

No. 11
Simulated X-ray diffraction stick pattern of PrNdTm3Sc for Cu Kα (weighted mean of Kα1 and Kα2), from a cell relaxed with PBE.

Largest 10 diffraction maxima, sorted by position, 2θ = 15–90°:
- 2θ = 31.08°, rel. 100
- 2θ = 36.01°, rel. 34
- 2θ = 36.10°, rel. 17
- 2θ = 51.88°, rel. 35
- 2θ = 61.63°, rel. 14
- 2θ = 61.77°, rel. 28
- 2θ = 64.80°, rel. 12
- 2θ = 84.74°, rel. 12
- 2θ = 84.87°, rel. 6
- 2θ = 87.39°, rel. 6

Crystal structure
```
data_PrNdTm3Sc
_chemical_formula_sum 'Pr2 Nd2 Tm6 Sc2'
_space_group_name_H-M_alt 'P 1'
_space_group_IT_number 1
_space_group_name_Hall 'P 1'
_cell_length_a 7.8714
_cell_length_b 7.8714
_cell_length_c 9.9653
_cell_angle_alpha 90.00
_cell_angle_beta 90.00
_cell_angle_gamma 143.01
loop_
_atom_site_label
_atom_site_type_symbol
_atom_site_fract_x
_atom_site_fract_y
_atom_site_fract_z
Pr1 Pr 0.0000 0.0000 0.0000
Pr2 Pr 0.0000 0.0000 0.5000
Nd1 Nd 0.4982 0.5018 0.7500
Nd2 Nd 0.5018 0.4982 0.2500
Tm1 Tm 0.1712 0.8288 0.7500
Tm2 Tm 0.3301 0.6699 0.0001
Tm3 Tm 0.3301 0.6699 0.4999
Tm4 Tm 0.6699 0.3301 0.9999
Tm5 Tm 0.6699 0.3301 0.5001
Tm6 Tm 0.8288 0.1712 0.2500
Sc1 Sc 0.1695 0.8305 0.2500
Sc2 Sc 0.8305 0.1695 0.7500
```

No. 12
Simulated X-ray diffraction stick pattern of PrNd4Y2Sc for Cu Kα (weighted mean of Kα1 and Kα2), from a cell relaxed with PBE.

Largest 10 diffraction maxima, sorted by position, 2θ = 15–90°:
- 2θ = 30.38°, rel. 100
- 2θ = 35.08°, rel. 17
- 2θ = 35.21°, rel. 17
- 2θ = 35.37°, rel. 17
- 2θ = 50.55°, rel. 12
- 2θ = 50.72°, rel. 24
- 2θ = 60.04°, rel. 14
- 2θ = 60.21°, rel. 14
- 2θ = 60.42°, rel. 14
- 2θ = 63.20°, rel. 12

Crystal structure
```
data_PrNd4Y2Sc
_chemical_formula_sum 'Pr1 Nd4 Y2 Sc1'
_space_group_name_H-M_alt 'P 1'
_space_group_IT_number 1
_space_group_name_Hall 'P 1'
_cell_length_a 5.0975
_cell_length_b 5.1156
_cell_length_c 10.1522
_cell_angle_alpha 90.00
_cell_angle_beta 90.00
_cell_angle_gamma 90.00
loop_
_atom_site_label
_atom_site_type_symbol
_atom_site_fract_x
_atom_site_fract_y
_atom_site_fract_z
Pr1 Pr 0.0000 0.0000 0.0000
Nd1 Nd 0.0000 0.5000 0.2466
Nd2 Nd 0.0000 0.5000 0.7534
Nd3 Nd 0.5000 0.0000 0.2472
Nd4 Nd 0.5000 0.0000 0.7528
Y1 Y 0.0000 0.0000 0.5000
Y2 Y 0.5000 0.5000 0.5000
Sc1 Sc 0.5000 0.5000 0.0000
```

No. 13
Simulated X-ray diffraction stick pattern of Pr6NdY2Sc for Cu Kα (weighted mean of Kα1 and Kα2), from a cell relaxed with PBE.

Largest 10 diffraction maxima, sorted by position, 2θ = 15–90°:
- 2θ = 26.78°, rel. 31
- 2θ = 28.60°, rel. 42
- 2θ = 30.12°, rel. 29
- 2θ = 30.47°, rel. 34
- 2θ = 30.67°, rel. 100
- 2θ = 30.92°, rel. 37
- 2θ = 32.82°, rel. 33
- 2θ = 33.03°, rel. 97
- 2θ = 33.62°, rel. 33
- 2θ = 55.35°, rel. 28

Crystal structure
```
data_Pr6NdY2Sc
_chemical_formula_sum 'Pr6 Nd1 Y2 Sc1'
_space_group_name_H-M_alt 'P 1'
_space_group_IT_number 1
_space_group_name_Hall 'P 1'
_cell_length_a 6.7838
_cell_length_b 6.7838
_cell_length_c 8.9022
_cell_angle_alpha 101.19
_cell_angle_beta 101.19
_cell_angle_gamma 61.74
loop_
_atom_site_label
_atom_site_type_symbol
_atom_site_fract_x
_atom_site_fract_y
_atom_site_fract_z
Pr1 Pr 0.0950 0.5849 0.1982
Pr2 Pr 0.1294 0.1294 0.4017
Pr3 Pr 0.4151 0.9050 0.8018
Pr4 Pr 0.5849 0.0950 0.1982
Pr5 Pr 0.8706 0.8706 0.5983
Pr6 Pr 0.9050 0.4151 0.8018
Nd1 Nd 0.5000 0.5000 0.5000
Y1 Y 0.4056 0.4056 0.8395
Y2 Y 0.5944 0.5944 0.1605
Sc1 Sc 0.0000 0.0000 0.0000
```